ZnNi6Pt: theoretical powder XRD pattern (CuKα), based on a cell relaxed with GGA-PBE.
Peak positions follow from Bragg's law for the DFT cell and can differ from measured ones.

Atomic structure:
```
data_ZnNi6Pt
_cell_length_a 7.2194
_cell_length_b 10.2388
_cell_length_c 10.2415
_cell_angle_alpha 90.00
_cell_angle_beta 90.00
_cell_angle_gamma 90.00
_space_group_name_H-M_alt 'C m m m'
_space_group_IT_number 65
_space_group_name_Hall '-C 2 2'
loop_
_atom_site_label
_atom_site_fract_x
_atom_site_fract_y
_atom_site_fract_z
Zn1 0.0000 0.0000 0.2472
Zn2 0.0000 0.2502 0.0000
Ni1 0.0000 0.0000 0.0000
Ni2 0.0000 0.0000 0.5000
Ni3 0.0000 0.2487 0.2474
Ni4 0.0000 0.5000 0.0000
Ni5 0.0000 0.5000 0.5000
Ni6 0.2483 0.1242 0.3723
Ni7 0.2481 0.1256 0.1227
Pt1 0.0000 0.2485 0.5000
Pt2 0.0000 0.5000 0.2475
```

Top 10 peaks for 10° ≤ 2θ ≤ 90°, in order of falling intensity:
43.3 deg, d 2.088, I 100, hkl 2 4 0; 50.4 deg, d 1.810, I 32, hkl 0 4 4; 89.9 deg, d 1.091, I 23, hkl 2 8 4; 74.2 deg, d 1.278, I 19, hkl 4 4 4; 50.6 deg, d 1.805, I 16, hkl 4 0 0; 24.6 deg, d 3.617, I 13, hkl 2 0 0; 35.1 deg, d 2.557, I 11, hkl 0 0 4; 74.1 deg, d 1.280, I 9, hkl 0 8 0; 15.0 deg, d 5.900, I 5, hkl 1 1 0; 23.0 deg, d 3.867, I 4, hkl 1 1 2

***

La3Si2Cl3O7: theoretical powder XRD pattern (CuKα), based on a cell relaxed with GGA-PBE.
Peak positions follow from Bragg's law for the DFT cell and can differ from measured ones.

Atomic structure:
```
data_La3Si2Cl3O7
_cell_length_a 5.4065
_cell_length_b 12.2751
_cell_length_c 7.9769
_cell_angle_alpha 90.00
_cell_angle_beta 108.83
_cell_angle_gamma 90.00
_space_group_name_H-M_alt 'P 1 21 1'
_space_group_IT_number 4
loop_
_space_group_symop_operation_xyz
'x,y,z'
'-x,y+1/2,-z'
loop_
_atom_site_label
_atom_site_fract_x
_atom_site_fract_y
_atom_site_fract_z
La1 0.0274 0.0000 0.4227
La2 0.2931 0.0255 0.9709
La3 0.4430 0.7475 0.2994
Si1 0.2130 0.3377 0.9349
Si2 0.3871 0.4502 0.3153
Cl1 0.0107 0.2458 0.4937
Cl2 0.1544 0.6219 0.9411
Cl3 0.4576 0.1170 0.3350
O1 0.0942 0.4888 0.3078
O2 0.0954 0.8734 0.1248
O3 0.2756 0.2116 0.9045
O4 0.3494 0.4061 0.8074
O5 0.3785 0.3784 0.1373
O6 0.4174 0.0521 0.6970
O7 0.4454 0.8878 0.5037
```

Top 10 peaks for 10° ≤ 2θ ≤ 90°, in order of falling intensity:
13.8 deg, d 6.431, I 100, hkl 0 1 1; 32.9 deg, d 2.725, I 88, hkl 1 3 -2; 25.4 deg, d 3.501, I 74, hkl 1 1 -2; 33.1 deg, d 2.703, I 71, hkl 2 0 -1; 25.0 deg, d 3.556, I 68, hkl 1 1 1; 22.8 deg, d 3.905, I 60, hkl 1 2 -1; 24.7 deg, d 3.601, I 57, hkl 0 3 1; 27.7 deg, d 3.215, I 55, hkl 0 2 2; 34.2 deg, d 2.620, I 54, hkl 1 0 -3; 28.1 deg, d 3.181, I 52, hkl 1 3 -1

***

HgBiP3: theoretical powder XRD pattern (CuKα), based on a cell relaxed with GGA-PBE.
Peak positions follow from Bragg's law for the DFT cell and can differ from measured ones.

Atomic structure:
```
data_HgBiP3
_cell_length_a 4.9809
_cell_length_b 4.9809
_cell_length_c 4.9809
_cell_angle_alpha 90.00
_cell_angle_beta 90.00
_cell_angle_gamma 90.00
_space_group_name_H-M_alt 'P m -3 m'
_space_group_IT_number 221
_space_group_name_Hall '-P 4 2 3'
loop_
_atom_site_label
_atom_site_fract_x
_atom_site_fract_y
_atom_site_fract_z
Hg1 0.0000 0.0000 0.0000
Bi1 0.5000 0.5000 0.5000
P1 0.0000 0.0000 0.5000
```

Top 10 peaks for 10° ≤ 2θ ≤ 90°, in order of falling intensity:
25.3 deg, d 3.522, I 100, hkl 1 1 0; 44.6 deg, d 2.033, I 47, hkl 2 1 1; 36.1 deg, d 2.490, I 36, hkl 2 0 0; 51.9 deg, d 1.761, I 26, hkl 2 2 0; 70.8 deg, d 1.331, I 24, hkl 3 2 1; 58.6 deg, d 1.575, I 21, hkl 3 1 0; 82.1 deg, d 1.174, I 13, hkl 4 1 1; 87.6 deg, d 1.114, I 13, hkl 4 2 0; 64.8 deg, d 1.438, I 9, hkl 2 2 2; 76.5 deg, d 1.245, I 4, hkl 4 0 0

***

Li3Tm3Ga8: theoretical powder XRD pattern (CuKα), based on a cell relaxed with GGA-PBE.
Peak positions follow from Bragg's law for the DFT cell and can differ from measured ones.

Atomic structure:
```
data_Li3Tm3Ga8
_cell_length_a 4.2408
_cell_length_b 9.4571
_cell_length_c 12.8098
_cell_angle_alpha 90.00
_cell_angle_beta 90.00
_cell_angle_gamma 90.00
_space_group_name_H-M_alt 'I m m m'
_space_group_IT_number 71
_space_group_name_Hall '-I 2 2'
loop_
_atom_site_label
_atom_site_fract_x
_atom_site_fract_y
_atom_site_fract_z
Li1 0.0000 0.0000 0.0000
Li2 0.0000 0.3093 0.5000
Tm1 0.0000 0.5000 0.0000
Tm2 0.0000 0.5000 0.2953
Ga1 0.0000 0.1345 0.3467
Ga2 0.0000 0.2132 0.1386
```

Top 10 peaks for 10° ≤ 2θ ≤ 90°, in order of falling intensity:
35.4 deg, d 2.538, I 100, hkl 1 2 3; 35.5 deg, d 2.530, I 81, hkl 1 3 0; 36.4 deg, d 2.467, I 50, hkl 1 1 4; 33.8 deg, d 2.652, I 37, hkl 0 2 4; 42.6 deg, d 2.120, I 35, hkl 2 0 0; 68.5 deg, d 1.370, I 32, hkl 1 4 7; 29.7 deg, d 3.009, I 31, hkl 1 0 3; 13.8 deg, d 6.405, I 29, hkl 0 0 2; 11.6 deg, d 7.608, I 23, hkl 0 1 1; 22.9 deg, d 3.892, I 23, hkl 0 1 3